1.
SiPdPb: theoretical XRD peak list (a wavelength of 1.5418 Å), based on a crystal structure in Alexandria, relaxed with PBE.
Intensities are scaled so that the largest is 100.

Crystal structure
```
SiPdPb
1.0
5.1401 0.0000 0.0000
0.0000 5.9169 0.0000
0.0000 0.0000 7.6618
Si Pd Pb
4 4 4
Direct
0.2500 0.2500 0.2500
0.2500 0.7500 0.7500
0.7500 0.2500 0.2500
0.7500 0.7500 0.7500
0.0000 0.0000 0.0000
0.0000 0.5000 0.0000
0.5000 0.0000 0.5000
0.5000 0.5000 0.5000
0.0000 0.2500 0.6196
0.0000 0.7500 0.3804
0.5000 0.2500 0.8804
0.5000 0.7500 0.1196
```

Peak list (10 most intense, 10 to 90 degrees two-theta, in order of falling intensity)
h k l	two_theta	I (rel.)
1 2 1	36.97	100
1 1 2	32.85	86
0 1 1	18.95	45
1 0 3	39.40	36
2 0 0	34.91	35
2 1 1	40.02	34
0 1 3	38.41	34
2 2 4	68.88	28
3 2 1	63.96	20
1 3 2	55.36	20

2.
TbB4Ir: theoretical XRD peak list (a wavelength of 1.5418 Å), based on a crystal structure in Alexandria, relaxed with PBE.
Intensities are scaled so that the largest is 100.

Crystal structure
```
TbB4Ir
1.0
5.9869 0.0000 0.0000
0.0000 11.6182 0.0000
0.0000 0.0000 3.5865
Tb B Ir
4 16 4
Direct
0.1310 0.1487 0.0000
0.3690 0.6487 0.0000
0.6310 0.3513 0.0000
0.8690 0.8513 0.0000
0.0243 0.6918 0.5000
0.1119 0.5464 0.5000
0.1370 0.9691 0.5000
0.2097 0.8126 0.5000
0.2903 0.3126 0.5000
0.3630 0.4691 0.5000
0.3881 0.0464 0.5000
0.4757 0.1918 0.5000
0.5243 0.8082 0.5000
0.6119 0.9536 0.5000
0.6370 0.5309 0.5000
0.7097 0.6874 0.5000
0.7903 0.1874 0.5000
0.8630 0.0309 0.5000
0.8881 0.4536 0.5000
0.9757 0.3082 0.5000
0.1438 0.4035 0.0000
0.3562 0.9035 0.0000
0.6438 0.0965 0.0000
0.8562 0.5965 0.0000
```

Peak list (10 most intense, 10 to 90 degrees two-theta, in order of falling intensity)
h k l	two_theta	I (rel.)
0 4 1	39.97	100
0 4 0	30.82	86
0 0 1	24.83	85
2 3 1	45.92	39
2 3 0	37.99	29
0 4 2	60.72	26
1 4 1	42.82	24
1 4 0	34.32	19
0 0 2	50.92	18
4 0 1	67.85	14

3.
PPdRuN: theoretical XRD peak list (a wavelength of 1.5418 Å), based on a crystal structure in Alexandria, relaxed with PBE.
Intensities are scaled so that the largest is 100.

Crystal structure
```
PPdRuN
1.0
3.0568 0.0000 0.0000
0.0000 3.3600 0.0000
0.0000 0.0000 9.3486
P Pd Ru N
2 2 2 2
Direct
0.0000 0.0000 0.0000
0.5000 0.5000 0.5000
0.0000 0.0000 0.2906
0.5000 0.5000 0.7906
0.0000 0.0000 0.5883
0.5000 0.5000 0.0883
0.0000 0.0000 0.8179
0.5000 0.5000 0.3179
```

Peak list (10 most intense, 10 to 90 degrees two-theta, in order of falling intensity)
h k l	two_theta	I (rel.)
1 1 0	39.87	100
0 1 3	39.44	67
1 0 3	41.38	58
1 1 4	56.64	38
0 0 4	38.52	30
0 1 1	28.22	29
1 0 1	30.77	24
1 2 3	70.78	23
2 1 3	74.72	20
0 2 0	54.63	19

4.
AcPm3Pr12: theoretical XRD peak list (a wavelength of 1.5418 Å), based on a crystal structure in Alexandria, relaxed with PBE.
Intensities are scaled so that the largest is 100.

Crystal structure
```
AcPm3Pr12
1.0
5.2589 0.0000 0.0000
0.0000 5.2589 0.0000
0.0000 0.0000 21.0226
Ac Pm Pr
1 3 12
Direct
0.0000 0.0000 0.0000
0.0000 0.0000 0.2525
0.0000 0.0000 0.5000
0.0000 0.0000 0.7475
0.0000 0.5000 0.1294
0.0000 0.5000 0.3763
0.0000 0.5000 0.6237
0.0000 0.5000 0.8706
0.5000 0.0000 0.1294
0.5000 0.0000 0.3763
0.5000 0.0000 0.6237
0.5000 0.0000 0.8706
0.5000 0.5000 0.0000
0.5000 0.5000 0.2534
0.5000 0.5000 0.5000
0.5000 0.5000 0.7466
```

Peak list (9 most intense, 10 to 90 degrees two-theta, in order of falling intensity)
h k l	two_theta	I (rel.)
1 1 4	29.42	100
2 0 0	34.10	51
3 1 4	58.19	43
2 2 0	49.00	36
3 3 4	79.45	17
4 2 0	81.95	16
2 2 8	61.05	12
4 0 0	71.82	6
1 1 3	27.15	1